1.
Simulated X-ray diffraction stick pattern
Compound: Pm2Al2Zn3
Radiation: Cu Kα, 1.54184 Å
Structure: a cell relaxed with GGA-PBE
Kinematic intensities with the Lorentz-polarization factor, no thermal factor.

Principal peaks in the range 2θ from 10° to 90°, in order of rising 2θ:
- 2θ 24.88, intensity 27, hkl 0 0 2
- 2θ 30.80, intensity 16, hkl 0 6 1
- 2θ 32.80, intensity 68, hkl 1 1 2
- 2θ 33.73, intensity 100, hkl 1 5 1
- 2θ 41.69, intensity 26, hkl 2 0 0
- 2θ 42.38, intensity 25, hkl 0 4 3
- 2θ 47.70, intensity 19, hkl 0 10 0
- 2θ 54.62, intensity 18, hkl 1 9 2
- 2θ 60.95, intensity 17, hkl 2 4 3
- 2θ 65.18, intensity 15, hkl 2 10 0

Structure:
abc: 4.3330 19.0574 7.1562
angles: 90.00 90.00 90.00
Space group Cmcm (No. 63)
Symmetry-distinct sites (fractional):
Pm: 0.0000 0.0535 0.2500 (multiplicity 4)
Pm: 0.0000 0.1571 0.7500 (multiplicity 4)
Al: 0.0000 0.3162 0.5632 (multiplicity 8)
Zn: 0.0000 0.2242 0.2500 (multiplicity 4)
Zn: 0.0000 0.4416 0.0736 (multiplicity 8)

2.
Simulated X-ray diffraction stick pattern
Compound: PrAl5
Radiation: Cu Kα, 1.54184 Å
Structure: a cell relaxed with GGA-PBE
Kinematic intensities with the Lorentz-polarization factor, no thermal factor.

Principal peaks in the range 2θ from 10° to 90°, in order of rising 2θ:
- 2θ 14.08, intensity 32, hkl 0 2 0
- 2θ 20.39, intensity 19, hkl 0 0 1
- 2θ 21.72, intensity 33, hkl 1 1 0
- 2θ 24.87, intensity 22, hkl 0 2 1
- 2θ 29.67, intensity 15, hkl 1 3 0
- 2θ 29.96, intensity 33, hkl 1 1 1
- 2θ 36.27, intensity 100, hkl 1 3 1
- 2θ 41.48, intensity 23, hkl 0 0 2
- 2θ 41.75, intensity 17, hkl 2 0 0
- 2θ 43.15, intensity 14, hkl 0 6 0

Structure:
abc: 4.3270 12.5787 4.3554
angles: 90.00 90.00 90.00
Space group Cmmm (No. 65)
Symmetry-distinct sites (fractional):
Pr: 0.0000 0.0000 0.0000 (multiplicity 2)
Al: 0.0000 0.1759 0.5000 (multiplicity 4)
Al: 0.0000 0.3185 0.0000 (multiplicity 4)
Al: 0.0000 0.5000 0.5000 (multiplicity 2)

3.
Simulated X-ray diffraction stick pattern
Compound: Pr3Al2
Radiation: Cu Kα, 1.54184 Å
Structure: a cell relaxed with GGA-PBE
Kinematic intensities with the Lorentz-polarization factor, no thermal factor.

Principal peaks in the range 2θ from 10° to 90°, in order of rising 2θ:
- 2θ 20.72, intensity 28, hkl 1 0 1
- 2θ 25.31, intensity 41, hkl 0 2 0
- 2θ 31.09, intensity 100, hkl 1 1 2
- 2θ 32.93, intensity 42, hkl 1 2 1
- 2θ 35.45, intensity 27, hkl 2 0 0
- 2θ 35.81, intensity 29, hkl 0 1 3
- 2θ 44.06, intensity 19, hkl 2 2 0
- 2θ 48.37, intensity 20, hkl 1 3 2
- 2θ 51.28, intensity 21, hkl 2 1 3
- 2θ 66.46, intensity 16, hkl 1 2 5

Structure:
abc: 5.0639 7.0387 8.0517
angles: 90.00 90.00 90.00
Space group Immm (No. 71)
Symmetry-distinct sites (fractional):
Pr: 0.0000 0.0000 0.0000 (multiplicity 2)
Pr: 0.0000 0.5000 0.1988 (multiplicity 4)
Al: 0.0000 0.1908 0.5000 (multiplicity 4)

4.
Simulated X-ray diffraction stick pattern
Compound: PrAl5
Radiation: Cu Kα, 1.54184 Å
Structure: a cell relaxed with GGA-PBE
Kinematic intensities with the Lorentz-polarization factor, no thermal factor.

Principal peaks in the range 2θ from 10° to 90°, in order of rising 2θ:
- 2θ 16.98, intensity 59, hkl 0 1 1
- 2θ 21.25, intensity 29, hkl 0 0 2
- 2θ 22.77, intensity 39, hkl 1 0 1
- 2θ 24.15, intensity 60, hkl 1 1 0
- 2θ 32.38, intensity 28, hkl 1 1 2
- 2θ 34.35, intensity 49, hkl 0 2 2
- 2θ 35.35, intensity 100, hkl 1 2 1
- 2θ 38.17, intensity 65, hkl 1 0 3
- 2θ 40.86, intensity 27, hkl 2 0 0
- 2θ 54.42, intensity 26, hkl 2 2 2

Structure:
abc: 4.4168 6.6837 8.3642
angles: 90.00 90.00 90.00
Space group Immm (No. 71)
Symmetry-distinct sites (fractional):
Pr: 0.0000 0.0000 0.0000 (multiplicity 2)
Al: 0.0000 0.2050 0.3398 (multiplicity 8)
Al: 0.0000 0.5000 0.0000 (multiplicity 2)